Simulated XRD peak list of TmH8Ir2Pb for Cu Kα (weighted mean of Kα1 and Kα2), from a PBE-relaxed structure.
Kinematic intensities with the Lorentz-polarization factor, no thermal factor.

Structure:
Cell: 4.2117 4.2117 24.6760 Å, 90.00 90.00 120.00°
Space group R-3m (No. 166, hexagonal axes)
Unique sites:
Tm  0.0000  0.0000  0.0000 (multiplicity 3)
H  0.0000  0.0000  0.1856 (multiplicity 6)
H  0.0401  0.5201  0.0437 (multiplicity 18)
Ir  0.0000  0.0000  0.2539 (multiplicity 6)
Pb  0.0000  0.0000  0.5000 (multiplicity 3)

Peak list (10 most intense, 10° ≤ 2θ ≤ 80°, by angle)
| 2theta | d_spacing | intensity | h k l |
| --- | --- | --- | --- |
| 28.4 | 3.140 | 100 | 1 0 4 |
| 38.2 | 2.355 | 46 | 0 1 8 |
| 42.9 | 2.106 | 34 | 1 1 0 |
| 44.0 | 2.056 | 10 | 0 0 12 |
| 52.3 | 1.749 | 19 | 0 2 4 |
| 58.8 | 1.570 | 13 | 2 0 8 |
| 63.2 | 1.471 | 21 | 1 1 12 |
| 65.7 | 1.420 | 9 | 1 0 16 |
| 69.9 | 1.345 | 16 | 2 1 4 |
| 75.5 | 1.259 | 13 | 1 2 8 |

***

Simulated XRD peak list of Ba4Cu2Si21 for Cu Kα (weighted mean of Kα1 and Kα2), from a PBE-relaxed structure.
Kinematic intensities with the Lorentz-polarization factor, no thermal factor.

Structure:
Cell: 10.358 14.701 14.712 Å, 90.00 90.00 90.00°
Space group Ama2 (No. 40)
Unique sites:
Ba  0.000  0.000  0.000 (multiplicity 4)
Ba  0.250  0.114  0.639 (multiplicity 4)
Ba  0.250  0.251  0.263 (multiplicity 4)
Ba  0.250  0.374  0.898 (multiplicity 4)
Cu  0.000  0.000  0.514 (multiplicity 4)
Cu  0.250  0.125  0.887 (multiplicity 4)
Si  0.057  0.309  0.704 (multiplicity 8)
Si  0.063  0.190  0.824 (multiplicity 8)
Si  0.065  0.248  0.447 (multiplicity 8)
Si  0.065  0.433  0.263 (multiplicity 8)
Si  0.066  0.065  0.264 (multiplicity 8)
Si  0.066  0.248  0.078 (multiplicity 8)
Si  0.129  0.403  0.108 (multiplicity 8)
Si  0.130  0.094  0.418 (multiplicity 8)
Si  0.250  0.038  0.167 (multiplicity 4)
Si  0.250  0.153  0.045 (multiplicity 4)
Si  0.250  0.344  0.474 (multiplicity 4)
Si  0.250  0.375  0.638 (multiplicity 4)
Si  0.250  0.467  0.356 (multiplicity 4)

Peak list (10 most intense, 10° ≤ 2θ ≤ 80°, by angle)
| 2theta | d_spacing | intensity | h k l |
| --- | --- | --- | --- |
| 17.1 | 5.195 | 12 | 0 2 2 |
| 19.1 | 4.644 | 10 | 1 2 2 |
| 21.0 | 4.240 | 30 | 1 3 1 |
| 29.8 | 2.998 | 30 | 2 4 0 |
| 31.0 | 2.880 | 28 | 3 2 2 |
| 32.3 | 2.776 | 100 | 2 4 2 |
| 34.5 | 2.600 | 17 | 0 4 4 |
| 52.9 | 1.732 | 11 | 0 6 6 |
| 54.4 | 1.686 | 26 | 3 7 3 |
| 54.6 | 1.682 | 11 | 5 1 5 |

***

Simulated XRD peak list of AcCe2Be2O6 for Cu Kα (weighted mean of Kα1 and Kα2), from a PBE-relaxed structure.
Kinematic intensities with the Lorentz-polarization factor, no thermal factor.

Structure:
Cell: 5.6833 5.6833 6.1463 Å, 90.00 90.00 120.00°
Space group P-3 (No. 147)
Unique sites:
Ac  0.0000  0.0000  0.0000 (multiplicity 1)
Ce  0.3333  0.6667  0.3762 (multiplicity 2)
Be  0.3333  0.6667  0.8103 (multiplicity 2)
O  0.0718  0.6825  0.7439 (multiplicity 6)

Peak list (10 most intense, 10° ≤ 2θ ≤ 80°, by angle)
| 2theta | d_spacing | intensity | h k l |
| --- | --- | --- | --- |
| 23.2 | 3.842 | 100 | 0 1 1 |
| 31.5 | 2.842 | 43 | 1 1 0 |
| 34.4 | 2.607 | 36 | 1 0 2 |
| 39.4 | 2.285 | 30 | 2 0 1 |
| 43.4 | 2.086 | 11 | 1 1 2 |
| 47.3 | 1.921 | 14 | 0 2 2 |
| 51.3 | 1.781 | 27 | 1 2 1 |
| 55.3 | 1.662 | 13 | 1 1 3 |
| 56.1 | 1.641 | 12 | 3 0 0 |
| 57.9 | 1.591 | 15 | 3 -1 2 |

***

Simulated XRD peak list of Mg2AlTcO6 for Cu Kα (weighted mean of Kα1 and Kα2), from a PBE-relaxed structure.
Kinematic intensities with the Lorentz-polarization factor, no thermal factor.

Structure:
Cell: 5.075 5.075 4.783 Å, 90.00 90.00 90.00°
Space group P4mm (No. 99)
Unique sites:
Mg  0.000  0.500  0.000 (multiplicity 2)
Al  0.000  0.000  0.648 (multiplicity 1)
Tc  0.500  0.500  0.621 (multiplicity 1)
O  0.000  0.000  0.283 (multiplicity 1)
O  0.251  0.251  0.795 (multiplicity 4)
O  0.500  0.500  0.264 (multiplicity 1)

Peak list (10 most intense, 10° ≤ 2θ ≤ 80°, by angle)
| 2theta | d_spacing | intensity | h k l |
| --- | --- | --- | --- |
| 17.5 | 5.075 | 45 | 1 0 0 |
| 18.6 | 4.783 | 61 | 0 0 1 |
| 24.8 | 3.589 | 46 | 1 1 0 |
| 25.6 | 3.481 | 35 | 1 0 1 |
| 31.2 | 2.871 | 100 | 1 1 1 |
| 35.4 | 2.538 | 31 | 2 0 0 |
| 45.6 | 1.990 | 29 | 1 1 2 |
| 50.9 | 1.794 | 35 | 2 2 0 |
| 60.9 | 1.522 | 32 | 3 1 1 |
| 69.6 | 1.350 | 25 | 2 0 3 |

***

Simulated XRD peak list of Ta2Ga2Ni3 for Cu Kα (weighted mean of Kα1 and Kα2), from a PBE-relaxed structure.
Kinematic intensities with the Lorentz-polarization factor, no thermal factor.

Structure:
Cell: 4.0639 4.0639 21.5532 Å, 90.00 90.00 120.00°
Space group R-3m (No. 166, hexagonal axes)
Unique sites:
Ta  0.0000  0.0000  0.1260 (multiplicity 6)
Ga  0.0000  0.0000  0.3769 (multiplicity 6)
Ni  0.0000  0.0000  0.0000 (multiplicity 3)
Ni  0.0000  0.0000  0.2509 (multiplicity 6)

Peak list (10 most intense, 10° ≤ 2θ ≤ 80°, by angle)
| 2theta | d_spacing | intensity | h k l |
| --- | --- | --- | --- |
| 12.3 | 7.184 | 10 | 0 0 3 |
| 25.6 | 3.473 | 34 | 1 0 1 |
| 30.3 | 2.947 | 47 | 1 0 4 |
| 38.9 | 2.317 | 15 | 1 0 7 |
| 42.2 | 2.139 | 100 | 0 1 8 |
| 44.6 | 2.032 | 86 | 1 1 0 |
| 54.9 | 1.673 | 9 | 0 2 4 |
| 63.1 | 1.473 | 30 | 2 0 8 |
| 69.9 | 1.346 | 9 | 1 1 12 |
| 75.6 | 1.258 | 17 | 1 0 16 |

***

Simulated XRD peak list of LiS for Cu Kα (weighted mean of Kα1 and Kα2), from a PBE-relaxed structure.
Kinematic intensities with the Lorentz-polarization factor, no thermal factor.

Structure:
Cell: 7.999 7.999 4.892 Å, 90.00 90.00 90.00°
Space group P4/mnc (No. 128)
Unique sites:
Li  0.097  0.315  0.000 (multiplicity 8)
S  0.131  0.691  0.500 (multiplicity 8)

Peak list (10 most intense, 10° ≤ 2θ ≤ 80°, by angle)
| 2theta | d_spacing | intensity | h k l |
| --- | --- | --- | --- |
| 15.7 | 5.656 | 39 | 1 1 0 |
| 22.2 | 4.000 | 33 | 2 0 0 |
| 24.9 | 3.577 | 100 | 2 1 0 |
| 35.5 | 2.530 | 25 | 3 1 0 |
| 36.7 | 2.446 | 28 | 0 0 2 |
| 40.1 | 2.247 | 42 | 3 1 1 |
| 44.9 | 2.019 | 36 | 2 1 2 |
| 52.0 | 1.758 | 15 | 3 1 2 |
| 54.6 | 1.680 | 15 | 4 2 1 |
| 60.9 | 1.520 | 18 | 5 0 1 |

***

Simulated XRD peak list of Na3UCo2Se6 for Cu Kα (weighted mean of Kα1 and Kα2), from a PBE-relaxed structure.
Kinematic intensities with the Lorentz-polarization factor, no thermal factor.

Structure:
Cell: 6.440 11.142 7.441 Å, 90.00 106.97 90.00°
Space group C2/m (No. 12)
Unique sites:
Na  0.000  0.000  0.000 (multiplicity 2)
Na  0.000  0.342  0.000 (multiplicity 4)
U  0.000  0.500  0.500 (multiplicity 2)
Co  0.000  0.167  0.500 (multiplicity 4)
Se  0.201  0.000  0.703 (multiplicity 4)
Se  0.248  0.184  0.296 (multiplicity 8)

Peak list (10 most intense, 10° ≤ 2θ ≤ 80°, by angle)
| 2theta | d_spacing | intensity | h k l |
| --- | --- | --- | --- |
| 12.4 | 7.117 | 100 | 0 0 1 |
| 28.0 | 3.182 | 14 | 1 3 0 |
| 32.4 | 2.762 | 53 | 2 0 -2 |
| 32.5 | 2.753 | 86 | 1 3 1 |
| 40.8 | 2.212 | 20 | 1 3 2 |
| 44.0 | 2.056 | 29 | 1 3 -3 |
| 44.1 | 2.051 | 14 | 2 0 2 |
| 49.0 | 1.858 | 39 | 3 3 -1 |
| 50.8 | 1.798 | 16 | 3 3 -2 |
| 60.0 | 1.541 | 13 | 2 6 -2 |

***

Simulated XRD peak list of In2Ag3 for Cu Kα (weighted mean of Kα1 and Kα2), from a PBE-relaxed structure.
Kinematic intensities with the Lorentz-polarization factor, no thermal factor.

Structure:
Cell: 5.645 9.523 8.043 Å, 90.00 90.00 90.00°
Space group Cmce (No. 64)
Unique sites:
In  0.000  0.121  0.118 (multiplicity 8)
Ag  0.000  0.000  0.500 (multiplicity 4)
Ag  0.250  0.144  0.750 (multiplicity 8)

Peak list (10 most intense, 10° ≤ 2θ ≤ 80°, by angle)
| 2theta | d_spacing | intensity | h k l |
| --- | --- | --- | --- |
| 28.8 | 3.097 | 40 | 1 1 2 |
| 29.1 | 3.072 | 22 | 0 2 2 |
| 34.3 | 2.616 | 50 | 1 3 1 |
| 38.4 | 2.347 | 34 | 1 1 3 |
| 38.5 | 2.336 | 59 | 0 2 3 |
| 38.7 | 2.324 | 100 | 2 2 1 |
| 39.0 | 2.310 | 45 | 2 0 2 |
| 39.5 | 2.280 | 26 | 1 3 2 |
| 44.2 | 2.049 | 20 | 0 4 2 |
| 69.7 | 1.349 | 34 | 2 4 4 |